Record 1
Structure and computed X-ray powder pattern of Ag3SbO4 (the PBE geometry in Alexandria; copper Kα).
Neutral-atom scattering factors, no anomalous dispersion.

Structure:
```
data_Ag3SbO4
_chemical_formula_sum 'Ag12 Sb4 O16'
_cell_length_a 7.2549
_cell_length_b 7.2549
_cell_length_c 8.8914
_cell_angle_alpha 90.00
_cell_angle_beta 90.00
_cell_angle_gamma 90.00
_symmetry_space_group_name_H-M 'P 41 2 2'
_symmetry_Int_Tables_number 91
loop_
_symmetry_equiv_pos_as_xyz
'x,y,z'
'-y,x,z+1/4'
'-x,-y,z+1/2'
'y,-x,z+3/4'
'x,-y,-z+1/2'
'-y,-x,-z+1/4'
'-x,y,-z'
'y,x,-z+3/4'
loop_
_atom_site_label
_atom_site_type_symbol
_atom_site_fract_x
_atom_site_fract_y
_atom_site_fract_z
Ag1 Ag 0.0000 0.1754 0.0000
Ag2 Ag 0.0000 0.2654 0.5000
Ag3 Ag 0.2010 0.5000 0.2500
Sb1 Sb 0.2803 0.5000 0.7500
O1 O 0.0861 0.3048 0.7332
O2 O 0.3044 0.4849 0.9793
```

Peak list (8 most intense, 10 to 90 degrees two-theta, low angle first)
- 29.30°, I 21.9
- 31.84°, I 100.0
- 34.98°, I 49.6
- 40.59°, I 27.0
- 50.31°, I 12.1
- 54.64°, I 29.8
- 60.78°, I 16.9
- 66.54°, I 12.4

Record 2
Structure and computed X-ray powder pattern of Ag7Sb9O25 (the PBE geometry in Alexandria; copper Kα).
Neutral-atom scattering factors, no anomalous dispersion.

Structure:
```
data_Ag7Sb9O25
_chemical_formula_sum 'Ag21 Sb27 O75'
_cell_length_a 7.3404
_cell_length_b 7.3404
_cell_length_c 36.2040
_cell_angle_alpha 90.00
_cell_angle_beta 90.00
_cell_angle_gamma 120.00
_symmetry_space_group_name_H-M 'R 3 m'
_symmetry_Int_Tables_number 160
_symmetry_space_group_name_Hall 'R 3 -2"'
loop_
_atom_site_label
_atom_site_type_symbol
_atom_site_fract_x
_atom_site_fract_y
_atom_site_fract_z
Ag1 Ag 0.0000 0.0000 0.0000
Ag2 Ag 0.0574 0.5287 0.2467
Ag3 Ag 0.1952 0.3904 0.0852
Sb1 Sb 0.0000 0.0000 0.2486
Sb2 Sb 0.0000 0.0000 0.5123
Sb3 Sb 0.0000 0.0000 0.7499
Sb4 Sb 0.9999 0.5000 0.9993
Sb5 Sb 0.1697 0.3393 0.8320
O1 O 0.0000 0.0000 0.1546
O2 O 0.0593 0.5296 0.4450
O3 O 0.0658 0.5329 0.3198
O4 O 0.0673 0.5337 0.9450
O5 O 0.1889 0.3777 0.1533
O6 O 0.1997 0.3994 0.0121
O7 O 0.2005 0.4010 0.3869
O8 O 0.2012 0.4023 0.8858
O9 O 0.2070 0.4140 0.5138
```

Peak list (8 most intense, 10 to 90 degrees two-theta, low angle first)
- 29.61°, I 35.3
- 29.79°, I 100.0
- 34.48°, I 45.1
- 49.44°, I 26.3
- 49.68°, I 25.4
- 58.69°, I 12.0
- 58.91°, I 22.0
- 59.01°, I 10.4